For Sr2Mg4InAu3, a crystal structure in Alexandria, relaxed with GGA-PBE gives the calculated powder diffractogram in this record (Cu Kα X-rays).
Kinematic intensities with the Lorentz-polarization factor, no thermal factor.

Structural model:
abc: 4.6531 4.6531 11.6419
angles: 90.00 90.00 90.00
Atoms (fractional coordinates):
1 Sr 0.0000 0.5000 0.2502
2 Sr 0.5000 0.0000 0.7498
3 Mg 0.0000 0.0000 0.0000
4 Mg 0.0000 0.5000 0.6393
5 Mg 0.5000 0.0000 0.3607
6 Mg 0.5000 0.5000 0.0000
7 In 0.0000 0.0000 0.5000
8 Au 0.0000 0.5000 0.8696
9 Au 0.5000 0.0000 0.1304
10 Au 0.5000 0.5000 0.5000

Most intense lines, 15 to 90 degrees two-theta, most intense first:
2theta  I (rel.)
31.2  100.0
28.2  95.8
38.7  91.6
30.0  69.7
24.5  66.9
41.4  55.3
22.9  43.2
55.9  41.3
43.5  37.9
49.7  34.4

***

For CsKCuH3, a crystal structure in Alexandria, relaxed with GGA-PBE gives the calculated powder diffractogram in this record (Cu Kα X-rays).
Kinematic intensities with the Lorentz-polarization factor, no thermal factor.

Structural model:
abc: 5.7564 5.7564 8.4613
angles: 93.78 93.78 98.04
Atoms (fractional coordinates):
1 Cs 0.2258 0.2258 0.3757
2 Cs 0.7742 0.7742 0.6243
3 K 0.2633 0.7367 0.0000
4 K 0.7367 0.2633 0.0000
5 Cu 0.2021 0.2021 0.8060
6 Cu 0.7979 0.7979 0.1940
7 H 0.0124 0.3416 0.7192
8 H 0.2457 0.2457 0.9997
9 H 0.3416 0.0124 0.7192
10 H 0.6584 0.9876 0.2808
11 H 0.7543 0.7543 0.0003
12 H 0.9876 0.6584 0.2808

Most intense lines, 15 to 90 degrees two-theta, most intense first:
2theta  I (rel.)
25.4  100.0
31.5  77.9
20.4  57.7
27.3  52.1
23.0  40.6
23.7  33.4
38.9  27.2
41.4  24.6
36.8  22.3
40.3  22.2

***

For TbPmHgAu, a crystal structure in Alexandria, relaxed with GGA-PBE gives the calculated powder diffractogram in this record (Cu Kα X-rays).
Kinematic intensities with the Lorentz-polarization factor, no thermal factor.

Structural model:
abc: 3.7067 3.7067 7.4526
angles: 90.00 90.00 90.00
Atoms (fractional coordinates):
1 Tb 0.0000 0.0000 0.0000
2 Pm 0.0000 0.0000 0.5220
3 Hg 0.5000 0.5000 0.2534
4 Au 0.5000 0.5000 0.7773

Most intense lines, 15 to 90 degrees two-theta, most intense first:
2theta  I (rel.)
34.1  100.0
61.2  25.0
49.2  12.3
61.0  11.8
82.2  11.2
71.8  7.3
48.9  5.7
81.8  4.7
72.1  4.0
24.0  1.4

***

For H6Rh7Pb4, a crystal structure in Alexandria, relaxed with GGA-PBE gives the calculated powder diffractogram in this record (Cu Kα X-rays).
Kinematic intensities with the Lorentz-polarization factor, no thermal factor.

Structural model:
abc: 6.8278 6.8278 6.8278
angles: 109.47 109.47 109.47
Atoms (fractional coordinates):
1 H 0.0000 0.2127 0.2127
2 H 0.0000 0.7873 0.7873
3 H 0.2127 0.0000 0.2127
4 H 0.2127 0.2127 0.0000
5 H 0.7873 0.0000 0.7873
6 H 0.7873 0.7873 0.0000
7 Rh 0.0000 0.0000 0.0000
8 Rh 0.2500 0.5000 0.7500
9 Rh 0.2500 0.7500 0.5000
10 Rh 0.5000 0.2500 0.7500
11 Rh 0.5000 0.7500 0.2500
12 Rh 0.7500 0.2500 0.5000
13 Rh 0.7500 0.5000 0.2500
14 Pb 0.0000 0.0000 0.5000
15 Pb 0.0000 0.5000 0.0000
16 Pb 0.5000 0.0000 0.0000
17 Pb 0.5000 0.5000 0.5000

Most intense lines, 15 to 90 degrees two-theta, most intense first:
2theta  I (rel.)
39.6  100.0
32.1  72.2
46.0  65.1
27.7  42.6
67.2  42.1
22.6  40.5
80.9  38.4
57.2  29.3
42.9  25.3
51.9  19.8

***

For Tb7YHg2, a crystal structure in Alexandria, relaxed with GGA-PBE gives the calculated powder diffractogram in this record (Cu Kα X-rays).
Kinematic intensities with the Lorentz-polarization factor, no thermal factor.

Structural model:
abc: 8.9613 8.9613 5.2848
angles: 90.00 90.00 119.10
Atoms (fractional coordinates):
1 Tb 0.0000 0.0000 0.0000
2 Tb 0.1973 0.4383 0.0000
3 Tb 0.2663 0.7337 0.5000
4 Tb 0.4383 0.1973 0.0000
5 Tb 0.5617 0.8027 0.0000
6 Tb 0.7337 0.2663 0.5000
7 Tb 0.8027 0.5617 0.0000
8 Y 0.5000 0.5000 0.5000
9 Hg 0.1936 0.8064 0.0000
10 Hg 0.8064 0.1936 0.0000

Most intense lines, 15 to 90 degrees two-theta, most intense first:
2theta  I (rel.)
35.1  100.0
16.8  90.7
34.6  75.4
30.4  74.0
33.9  68.8
28.6  52.4
46.2  46.8
19.5  31.8
61.8  29.0
30.1  27.7

***

For CsScPtCl6, a crystal structure in Alexandria, relaxed with GGA-PBE gives the calculated powder diffractogram in this record (Cu Kα X-rays).
Kinematic intensities with the Lorentz-polarization factor, no thermal factor.

Structural model:
abc: 6.4719 6.4719 7.8752
angles: 94.49 94.49 111.92
Atoms (fractional coordinates):
1 Cs 0.0000 0.0000 0.0000
2 Sc 0.6243 0.3757 0.5000
3 Pt 0.2704 0.7296 0.5000
4 Cl 0.2830 0.4241 0.3337
5 Cl 0.3087 0.0723 0.6457
6 Cl 0.5759 0.7170 0.6663
7 Cl 0.6072 0.1216 0.2586
8 Cl 0.8784 0.3928 0.7414
9 Cl 0.9277 0.6913 0.3543

Most intense lines, 15 to 90 degrees two-theta, most intense first:
2theta  I (rel.)
17.6  100.0
20.1  83.9
30.8  78.4
19.8  67.2
25.8  55.3
37.5  46.8
31.4  43.7
33.4  32.1
38.5  29.3
45.6  25.2

***

For CaPaCuO6, a crystal structure in Alexandria, relaxed with GGA-PBE gives the calculated powder diffractogram in this record (Cu Kα X-rays).
Kinematic intensities with the Lorentz-polarization factor, no thermal factor.

Structural model:
abc: 5.3253 5.3253 4.7599
angles: 90.00 90.00 120.00
Atoms (fractional coordinates):
1 Ca 0.0000 0.0000 0.0000
2 Pa 0.6667 0.3333 0.5000
3 Cu 0.3333 0.6667 0.0000
4 O 0.0174 0.3832 0.2385
5 O 0.0174 0.6341 0.7615
6 O 0.3659 0.3832 0.7615
7 O 0.3659 0.9826 0.2385
8 O 0.6168 0.6341 0.2385
9 O 0.6168 0.9826 0.7615

Most intense lines, 15 to 90 degrees two-theta, most intense first:
2theta  I (rel.)
26.9  100.0
19.2  41.7
51.5  30.0
33.7  29.7
43.6  27.8
56.2  26.5
42.8  10.7
77.2  10.5
60.2  10.5
61.8  9.9

***

For AcTb2Pr12, a crystal structure in Alexandria, relaxed with GGA-PBE gives the calculated powder diffractogram in this record (Cu Kα X-rays).
Kinematic intensities with the Lorentz-polarization factor, no thermal factor.

Structural model:
abc: 6.9451 6.9451 25.5603
angles: 90.00 90.00 116.77
Atoms (fractional coordinates):
1 Ac 0.2500 0.7500 0.9867
2 Ac 0.7500 0.2500 0.0133
3 Tb 0.2500 0.7500 0.2708
4 Tb 0.2500 0.7500 0.7244
5 Tb 0.7500 0.2500 0.2756
6 Tb 0.7500 0.2500 0.7292
7 Pr 0.0106 0.5106 0.8600
8 Pr 0.0203 0.5203 0.4170
9 Pr 0.0227 0.9773 0.0785
10 Pr 0.0248 0.9752 0.5594
11 Pr 0.2500 0.2500 0.2024
12 Pr 0.2500 0.2500 0.3271
13 Pr 0.2500 0.2500 0.6729
14 Pr 0.2500 0.2500 0.7976
15 Pr 0.4752 0.5248 0.5594
16 Pr 0.4773 0.5227 0.0785
17 Pr 0.4797 0.9797 0.4170
18 Pr 0.4894 0.9894 0.8600
19 Pr 0.5106 0.0106 0.1400
20 Pr 0.5203 0.0203 0.5830
21 Pr 0.5227 0.4773 0.9215
22 Pr 0.5248 0.4752 0.4406
23 Pr 0.7500 0.7500 0.2024
24 Pr 0.7500 0.7500 0.3271
25 Pr 0.7500 0.7500 0.6729
26 Pr 0.7500 0.7500 0.7976
27 Pr 0.9752 0.0248 0.4406
28 Pr 0.9773 0.0227 0.9215
29 Pr 0.9797 0.4797 0.5830
30 Pr 0.9894 0.4894 0.1400

Most intense lines, 15 to 90 degrees two-theta, most intense first:
2theta  I (rel.)
30.2  100.0
28.7  81.3
29.7  71.9
32.1  64.0
31.8  54.1
30.7  43.9
35.8  41.3
56.3  32.3
28.2  29.4
46.4  27.9